1.
The following is a computed X-ray powder pattern of PuGa9Co2. It was derived from the PBE geometry in Alexandria, using Cu Kα (weighted mean of Kα1 and Kα2).
Lines closer than 0.1° are merged.

Principal peaks in the range 2θ = 15–90°, low angle first:
22.8 deg, I 93; 28.3 deg, I 115; 28.9 deg, I 93; 33.0 deg, I 226; 37.6 deg, I 1000; 40.8 deg, I 171; 44.5 deg, I 130; 46.5 deg, I 95; 51.3 deg, I 94; 67.9 deg, I 156

Crystal structure
```
PuGa9Co2
1.0
-5.342 5.342 3.391
5.342 -5.342 3.391
5.342 5.342 -3.391
Pu Ga Co
2 18 4
direct
0.375 0.625 0.750
0.625 0.375 0.250
0.124 0.561 0.323
0.124 0.801 0.563
0.125 0.875 0.250
0.199 0.262 0.323
0.199 0.876 0.937
0.262 0.199 0.823
0.262 0.439 0.063
0.439 0.262 0.563
0.439 0.876 0.177
0.561 0.124 0.823
0.561 0.738 0.437
0.738 0.561 0.937
0.738 0.801 0.177
0.801 0.124 0.063
0.801 0.738 0.677
0.875 0.125 0.750
0.876 0.199 0.437
0.876 0.439 0.677
0.000 0.000 0.000
0.000 0.000 0.500
0.000 0.500 0.000
0.500 0.000 0.500
```

2.
The following is a computed X-ray powder pattern of Ga6Co5Rh. It was derived from the PBE geometry in Alexandria, using Cu Kα (weighted mean of Kα1 and Kα2).
Lines closer than 0.1° are merged.

Principal peaks in the range 2θ = 15–90°, low angle first:
21.0 deg, I 7; 22.7 deg, I 6; 27.5 deg, I 12; 34.4 deg, I 10; 43.9 deg, I 507; 44.0 deg, I 1000; 63.8 deg, I 157; 64.3 deg, I 76; 80.7 deg, I 307; 81.1 deg, I 151

Crystal structure
```
Ga6Co5Rh
1.0
2.064 -6.194 0.000
2.064 6.194 0.000
0.000 0.000 5.796
Ga Co Rh
6 5 1
direct
0.000 0.000 0.240
0.000 0.000 0.760
0.330 0.670 0.246
0.330 0.670 0.754
0.670 0.330 0.246
0.670 0.330 0.754
0.166 0.834 0.000
0.167 0.833 0.500
0.500 0.500 0.000
0.833 0.167 0.500
0.834 0.166 0.000
0.500 0.500 0.500
```

3.
The following is a computed X-ray powder pattern of Ga3CoRh2. It was derived from the PBE geometry in Alexandria, using Cu Kα (weighted mean of Kα1 and Kα2).
Lines closer than 0.1° are merged.

Principal peaks in the range 2θ = 15–90°, low angle first:
29.8 deg, I 17; 31.5 deg, I 23; 36.1 deg, I 41; 42.6 deg, I 523; 42.9 deg, I 1000; 61.8 deg, I 167; 62.8 deg, I 74; 68.9 deg, I 18; 78.2 deg, I 321; 78.8 deg, I 147

Crystal structure
```
Ga3CoRh2
1.0
3.002 0.000 0.000
0.000 3.002 0.000
0.000 0.000 8.884
Ga Co Rh
3 1 2
direct
0.000 0.000 0.000
0.000 0.000 0.347
0.000 0.000 0.653
0.500 0.500 0.500
0.500 0.500 0.172
0.500 0.500 0.828
```

4.
The following is a computed X-ray powder pattern of SrGa3CoRh. It was derived from the PBE geometry in Alexandria, using Cu Kα (weighted mean of Kα1 and Kα2).
Lines closer than 0.1° are merged.

Principal peaks in the range 2θ = 15–90°, low angle first:
16.1 deg, I 310; 23.9 deg, I 266; 28.9 deg, I 282; 31.0 deg, I 335; 32.5 deg, I 336; 34.2 deg, I 182; 38.7 deg, I 1000; 43.6 deg, I 206; 48.9 deg, I 250; 51.4 deg, I 355

Crystal structure
```
SrGa3CoRh
1.0
3.722 -5.518 0.000
3.722 5.518 0.000
0.000 0.000 5.959
Sr Ga Co Rh
2 6 2 2
direct
0.230 0.770 0.750
0.770 0.230 0.250
0.250 0.250 0.000
0.250 0.250 0.500
0.285 0.715 0.250
0.715 0.285 0.750
0.750 0.750 0.000
0.750 0.750 0.500
0.486 0.514 0.250
0.514 0.486 0.750
0.071 0.929 0.250
0.929 0.071 0.750
```

Please write out number 3 again, unchanged.
The following is a computed X-ray powder pattern of Ga3CoRh2. It was derived from the PBE geometry in Alexandria, using Cu Kα (weighted mean of Kα1 and Kα2).
Lines closer than 0.1° are merged.

Principal peaks in the range 2θ = 15–90°, low angle first:
29.8 deg, I 17; 31.5 deg, I 23; 36.1 deg, I 41; 42.6 deg, I 523; 42.9 deg, I 1000; 61.8 deg, I 167; 62.8 deg, I 74; 68.9 deg, I 18; 78.2 deg, I 321; 78.8 deg, I 147

Crystal structure
```
Ga3CoRh2
1.0
3.002 0.000 0.000
0.000 3.002 0.000
0.000 0.000 8.884
Ga Co Rh
3 1 2
direct
0.000 0.000 0.000
0.000 0.000 0.347
0.000 0.000 0.653
0.500 0.500 0.500
0.500 0.500 0.172
0.500 0.500 0.828
```